(1)
For Tm3Sc2Tl2, a crystal structure in Alexandria, relaxed with GGA-PBE gives the computed X-ray powder pattern in this record (Cu Kα (weighted mean of Kα1 and Kα2)).
No peak broadening, texture or thermal motion is included.

a b c (Å): 11.148 11.148 11.148
angles (deg): 161.82 154.12 31.81
Atoms (fractional coordinates):
1 Tm 0.000 0.000 0.000
2 Tm 0.297 0.797 0.500
3 Tm 0.703 0.203 0.500
4 Sc 0.430 0.430 0.000
5 Sc 0.570 0.570 0.000
6 Tl 0.147 0.647 0.500
7 Tl 0.853 0.353 0.500

Top 8 peaks for 15 to 90 degrees two-theta, in order of rising 2θ:
- d = 2.878 Å, I = 33
- d = 2.780 Å, I = 99
- d = 2.722 Å, I = 45
- d = 2.611 Å, I = 100
- d = 2.536 Å, I = 28
- d = 2.497 Å, I = 49
- d = 1.840 Å, I = 28
- d = 1.460 Å, I = 33

***

(2)
For Tm3Sc3Tl2, a crystal structure in Alexandria, relaxed with GGA-PBE gives the computed X-ray powder pattern in this record (Cu Kα (weighted mean of Kα1 and Kα2)).
No peak broadening, texture or thermal motion is included.

a b c (Å): 4.643 4.673 9.344
angles (deg): 90.00 90.00 90.00
Atoms (fractional coordinates):
1 Tm 0.000 0.000 0.000
2 Tm 0.000 0.500 0.255
3 Tm 0.000 0.500 0.745
4 Sc 0.000 0.000 0.500
5 Sc 0.500 0.500 0.000
6 Sc 0.500 0.500 0.500
7 Tl 0.500 0.000 0.255
8 Tl 0.500 0.000 0.745

Top 8 peaks for 15 to 90 degrees two-theta, in order of rising 2θ:
- d = 4.672 Å, I = 20
- d = 3.294 Å, I = 17
- d = 2.692 Å, I = 100
- d = 2.336 Å, I = 33
- d = 2.322 Å, I = 17
- d = 1.647 Å, I = 23
- d = 1.408 Å, I = 27
- d = 1.402 Å, I = 13

***

(3)
For Tm3ScTl3, a crystal structure in Alexandria, relaxed with GGA-PBE gives the computed X-ray powder pattern in this record (Cu Kα (weighted mean of Kα1 and Kα2)).
No peak broadening, texture or thermal motion is included.

a b c (Å): 8.926 8.926 5.564
angles (deg): 90.00 90.00 120.00
Atoms (fractional coordinates):
1 Tm 0.099 0.460 0.250
2 Tm 0.362 0.901 0.250
3 Tm 0.460 0.362 0.750
4 Tm 0.540 0.638 0.250
5 Tm 0.638 0.099 0.750
6 Tm 0.901 0.540 0.750
7 Sc 0.333 0.667 0.750
8 Sc 0.667 0.333 0.250
9 Tl 0.054 0.253 0.750
10 Tl 0.199 0.946 0.750
11 Tl 0.253 0.199 0.250
12 Tl 0.747 0.801 0.750
13 Tl 0.801 0.054 0.250
14 Tl 0.946 0.747 0.250

Top 8 peaks for 15 to 90 degrees two-theta, in order of rising 2θ:
- d = 2.922 Å, I = 25
- d = 2.782 Å, I = 28
- d = 2.587 Å, I = 100
- d = 2.015 Å, I = 17
- d = 1.687 Å, I = 19
- d = 1.566 Å, I = 22
- d = 1.442 Å, I = 20
- d = 1.413 Å, I = 14